# 1
Diffraction record for Ta2Mo4As3C3. The X-ray powder pattern is calculated, not measured: it uses DFT lattice parameters and positions (PBE) and Cu Kα (weighted mean of Kα1 and Kα2).
Lines closer than 0.1° are merged.

Structural model:
a = 9.732 Å, b = 5.624 Å, c = 12.557 Å
α = 90.00°, β = 105.20°, γ = 90.00°
Space group C2/c (No. 15)
Symmetry-distinct sites (fractional):
Ta 0.055 0.086 0.403 [8 per cell]
Mo 0.115 0.426 0.588 [8 per cell]
Mo 0.215 0.411 0.911 [8 per cell]
As 0.000 0.434 0.250 [4 per cell]
As 0.175 0.092 0.750 [8 per cell]
C 0.080 0.241 0.000 [8 per cell]
C 0.250 0.250 0.500 [4 per cell]

Peak list (10 most intense, 2θ = 15–90°, sorted by position)
| 2θ/deg | d/Å | I_rel | h k l |
| --- | --- | --- | --- |
| 31.84 | 2.811 | 39 | 3 1 -1 |
| 32.71 | 2.738 | 11 | 1 1 -4 |
| 39.01 | 2.309 | 100 | 0 2 3 |
| 39.12 | 2.303 | 50 | 3 1 2 |
| 44.88 | 2.020 | 20 | 0 0 6 |
| 56.73 | 1.623 | 35 | 6 0 -2 |
| 70.97 | 1.328 | 17 | 0 4 3 |
| 71.13 | 1.326 | 8 | 6 2 1 |
| 74.98 | 1.267 | 13 | 3 3 -7 |
| 75.17 | 1.264 | 8 | 3 3 5 |

=====

# 2
Diffraction record for Ta4Mo2As3C3. The X-ray powder pattern is calculated, not measured: it uses DFT lattice parameters and positions (PBE) and Cu Kα (weighted mean of Kα1 and Kα2).
Lines closer than 0.1° are merged.

Structural model:
a = 9.870 Å, b = 5.700 Å, c = 12.467 Å
α = 90.00°, β = 105.39°, γ = 90.00°
Space group C2/c (No. 15)
Symmetry-distinct sites (fractional):
Ta 0.115 0.091 0.096 [8 per cell]
Ta 0.221 0.079 0.404 [8 per cell]
Mo 0.050 0.420 0.912 [8 per cell]
As 0.000 0.098 0.750 [4 per cell]
As 0.159 0.424 0.251 [8 per cell]
C 0.087 0.241 0.500 [8 per cell]
C 0.250 0.250 0.000 [4 per cell]

Peak list (10 most intense, 2θ = 15–90°, sorted by position)
| 2θ/deg | d/Å | I_rel | h k l |
| --- | --- | --- | --- |
| 31.39 | 2.850 | 27 | 3 1 -1 |
| 32.28 | 2.773 | 10 | 0 2 1 |
| 38.78 | 2.322 | 100 | 3 1 2 |
| 45.27 | 2.003 | 12 | 0 0 6 |
| 55.88 | 1.645 | 24 | 6 0 -2 |
| 56.12 | 1.639 | 11 | 3 1 5 |
| 63.22 | 1.471 | 5 | 0 2 7 |
| 70.09 | 1.342 | 17 | 6 2 1 |
| 74.63 | 1.272 | 14 | 3 3 5 |
| 79.18 | 1.210 | 6 | 0 2 9 |

=====

# 3
Diffraction record for Zr4Mo2As3C3. The X-ray powder pattern is calculated, not measured: it uses DFT lattice parameters and positions (PBE) and Cu Kα (weighted mean of Kα1 and Kα2).
Lines closer than 0.1° are merged.

Structural model:
a = 10.150 Å, b = 5.877 Å, c = 12.803 Å
α = 90.00°, β = 105.12°, γ = 90.00°
Space group C2/c (No. 15)
Symmetry-distinct sites (fractional):
Zr 0.118 0.080 0.102 [8 per cell]
Zr 0.214 0.085 0.398 [8 per cell]
Mo 0.061 0.413 0.917 [8 per cell]
As 0.000 0.115 0.750 [4 per cell]
As 0.153 0.431 0.251 [8 per cell]
C 0.082 0.254 0.500 [8 per cell]
C 0.250 0.250 0.000 [4 per cell]

Peak list (10 most intense, 2θ = 15–90°, sorted by position)
| 2θ/deg | d/Å | I_rel | h k l |
| --- | --- | --- | --- |
| 30.47 | 2.934 | 40 | 3 1 -1 |
| 37.60 | 2.392 | 100 | 0 2 3 |
| 37.71 | 2.386 | 49 | 3 1 -4 |
| 43.95 | 2.060 | 17 | 0 0 6 |
| 54.10 | 1.695 | 25 | 3 3 -1 |
| 54.22 | 1.692 | 12 | 6 0 -2 |
| 54.37 | 1.687 | 11 | 3 1 5 |
| 67.78 | 1.383 | 8 | 6 2 1 |
| 67.93 | 1.380 | 8 | 6 2 -5 |
| 72.10 | 1.310 | 10 | 3 3 5 |

=====

# 4
Diffraction record for Nb3AsCN. The X-ray powder pattern is calculated, not measured: it uses DFT lattice parameters and positions (PBE) and Cu Kα (weighted mean of Kα1 and Kα2).
Lines closer than 0.1° are merged.

Structural model:
a = 3.2161 Å, b = 3.2161 Å, c = 17.7010 Å
α = 90.00°, β = 90.00°, γ = 120.00°
Space group P-3m1 (No. 164)
Symmetry-distinct sites (fractional):
Nb 0.0000 0.0000 0.0000 [1 per cell]
Nb 0.0000 0.0000 0.5000 [1 per cell]
Nb 0.3333 0.6667 0.1394 [2 per cell]
Nb 0.3333 0.6667 0.3583 [2 per cell]
As 0.0000 0.0000 0.2476 [2 per cell]
C 0.3333 0.6667 0.5740 [2 per cell]
N 0.3333 0.6667 0.9296 [2 per cell]

Peak list (10 most intense, 2θ = 15–90°, sorted by position)
| 2θ/deg | d/Å | I_rel | h k l |
| --- | --- | --- | --- |
| 32.54 | 2.751 | 31 | 1 0 1 |
| 38.18 | 2.357 | 100 | 0 1 4 |
| 40.78 | 2.213 | 16 | 0 0 8 |
| 41.24 | 2.189 | 35 | 1 0 5 |
| 52.84 | 1.732 | 7 | 1 0 8 |
| 57.29 | 1.608 | 31 | 1 1 0 |
| 57.35 | 1.607 | 13 | 0 1 9 |
| 70.95 | 1.328 | 15 | 2 0 4 |
| 72.51 | 1.304 | 9 | 0 1 12 |
| 72.69 | 1.301 | 18 | 1 1 8 |